This entry pairs a crystal structure of Ac3Tl3CoO8 with its computed powder diffraction line list. Radiation: CuKα. Structure: a DFT-relaxed cell (GGA+U, Alexandria).
Kinematic intensities with the Lorentz-polarization factor, no thermal factor.

```
data_Ac3Tl3CoO8
_chemical_formula_sum 'Ac3 Tl3 Co1 O8'
_cell_length_a 7.3969
_cell_length_b 7.4020
_cell_length_c 7.5405
_cell_angle_alpha 61.16
_cell_angle_beta 61.22
_cell_angle_gamma 61.02
_symmetry_space_group_name_H-M 'P -1'
_symmetry_Int_Tables_number 2
loop_
_symmetry_equiv_pos_as_xyz
'x,y,z'
'-x,-y,-z'
loop_
_atom_site_label
_atom_site_fract_x
_atom_site_fract_y
_atom_site_fract_z
_atom_site_occupancy
Ac1 0.0000 0.0000 0.0000 1
Ac2 0.0000 0.5000 0.0000 1
Ac3 0.5000 0.0000 0.0000 1
Tl1 0.0000 0.5000 0.5000 1
Tl2 0.5000 0.0000 0.5000 1
Tl3 0.5000 0.5000 0.5000 1
Co1 0.5000 0.5000 0.0000 1
O1 0.2323 0.2328 0.8078 1
O2 0.2535 0.7200 0.8086 1
O3 0.2784 0.7485 0.1933 1
O4 0.3183 0.3177 0.1535 1
```

The 6 most intense peaks (2θ = 15–90°), by intensity:
(2 0 0), 29.17°, d 3.062, I 100
(2 0 2), 33.69°, d 2.660, I 100
(0 0 2), 28.56°, d 3.125, I 56
(2 2 2), 29.65°, d 3.013, I 48
(2 2 0), 33.93°, d 2.642, I 47
(2 0 -2), 47.86°, d 1.901, I 34